1.
Starting from a crystal structure in Alexandria, relaxed with GGA-PBE, the X-ray powder pattern of Sr2Li2Sn5 was simulated for λ = 1.5418 Å (Cu Kα).

Cell and atoms:
Unit cell a=4.8510 b=4.8510 c=10.3755 alpha=90.00 beta=90.00 gamma=90.00
Sites, in units of the cell vectors:
Sr1 0.0000 0.0000 0.0000
Sr2 0.0000 0.0000 0.5000
Li1 0.5000 0.5000 0.1299
Li2 0.5000 0.5000 0.8701
Sn1 0.0000 0.5000 0.2591
Sn2 0.0000 0.5000 0.7409
Sn3 0.5000 0.0000 0.2591
Sn4 0.5000 0.0000 0.7409
Sn5 0.5000 0.5000 0.5000

Principal peaks in the range 15° ≤ 2θ ≤ 90°, most intense first:
d [Å]	2θ/deg	intensity
2.861	31.3	100
2.425	37.1	33
1.471	63.2	28
1.772	51.6	24
2.594	34.6	18
1.544	59.9	15
1.148	84.4	12
1.431	65.2	12
1.715	53.4	12
4.394	20.2	6

=====

2.
Starting from a crystal structure in Alexandria, relaxed with GGA-PBE, the X-ray powder pattern of ErThHgBi was simulated for λ = 1.5418 Å (Cu Kα).

Cell and atoms:
Unit cell a=5.4350 b=5.4350 c=5.4350 alpha=60.00 beta=60.00 gamma=60.00
Sites, in units of the cell vectors:
Er1 0.0000 0.0000 0.0000
Th1 0.5000 0.5000 0.5000
Hg1 0.2500 0.2500 0.2500
Bi1 0.7500 0.7500 0.7500

Principal peaks in the range 15° ≤ 2θ ≤ 90°, most intense first:
d [Å]	2θ/deg	intensity
2.717	33.0	100
1.569	58.9	39
1.922	47.3	19
1.215	78.7	17
1.359	69.1	12
1.109	88.0	5
4.438	20.0	1
2.317	38.9	1

=====

3.
Starting from a crystal structure in Alexandria, relaxed with GGA-PBE, the X-ray powder pattern of TiSiOs was simulated for λ = 1.5418 Å (Cu Kα).

Cell and atoms:
Unit cell a=7.3923 b=7.3923 c=7.3923 alpha=122.46 beta=81.35 gamma=127.85
Sites, in units of the cell vectors:
Ti1 0.0038 0.2500 0.2538
Ti2 0.4234 0.3971 0.5264
Ti3 0.4268 0.8728 0.0540
Ti4 0.8187 0.3728 0.9460
Ti5 0.8707 0.8971 0.4736
Ti6 0.9962 0.7500 0.7462
Si1 0.0886 0.4282 0.6742
Si2 0.0886 0.9144 0.1604
Si3 0.3768 0.1594 0.7174
Si4 0.4420 0.6594 0.2826
Si5 0.7540 0.4144 0.3258
Si6 0.7540 0.9282 0.8396
Os1 0.1657 0.3287 0.9091
Os2 0.1657 0.7565 0.3370
Os3 0.4195 0.2565 0.0909
Os4 0.4195 0.8287 0.6630
Os5 0.6715 0.1715 0.5000
Os6 0.6715 0.6715 0.0000

Principal peaks in the range 15° ≤ 2θ ≤ 90°, most intense first:
d [Å]	2θ/deg	intensity
2.397	37.5	100
3.243	27.5	65
2.125	42.5	53
2.205	40.9	41
5.617	15.8	41
3.558	25.0	39
1.824	50.0	36
2.120	42.7	26
3.005	29.7	20
1.821	50.1	17

=====

4.
Starting from a crystal structure in Alexandria, relaxed with GGA-PBE, the X-ray powder pattern of ThTlGaAu was simulated for λ = 1.5418 Å (Cu Kα).

Cell and atoms:
Unit cell a=5.1262 b=5.1262 c=5.1262 alpha=60.00 beta=60.00 gamma=60.00
Sites, in units of the cell vectors:
Th1 0.0000 0.0000 0.0000
Tl1 0.5000 0.5000 0.5000
Ga1 0.7500 0.7500 0.7500
Au1 0.2500 0.2500 0.2500

Principal peaks in the range 15° ≤ 2θ ≤ 90°, most intense first:
d [Å]	2θ/deg	intensity
2.563	35.0	100
1.480	62.8	38
1.812	50.3	18
1.146	84.5	17
1.282	74.0	12
4.186	21.2	7
3.625	24.6	6
2.186	41.3	4
1.621	56.8	3
1.663	55.2	2